# 1
Calculated powder diffraction line list
Compound: TaNiAgSnOsC
Radiation: Cu Kα (λ = 1.5418 Å)
Structure: a structure optimized by DFT (GGA-PBE)

Principal peaks in the range 2θ = 10–80°, by angle:
28.5°, rel. 47; 31.9°, rel. 60; 38.3°, rel. 69; 39.6°, rel. 44; 40.1°, rel. 100; 41.4°, rel. 83; 41.8°, rel. 42; 50.0°, rel. 21; 51.4°, rel. 26; 59.0°, rel. 24; 66.6°, rel. 25; 72.6°, rel. 21

Structural model:
```
data_TaNiAgSnOsC
_cell_length_a 4.707
_cell_length_b 3.132
_cell_length_c 6.584
_cell_angle_alpha 90.00
_cell_angle_beta 107.39
_cell_angle_gamma 90.00
_space_group_name_H-M_alt 'P 1 m 1'
_space_group_IT_number 6
_space_group_name_Hall 'P -2y'
loop_
_atom_site_label
_atom_site_type_symbol
_atom_site_fract_x
_atom_site_fract_y
_atom_site_fract_z
Ta1 Ta 0.000 0.000 0.000
Ni1 Ni 0.515 0.500 0.132
Ag1 Ag 0.773 0.000 0.499
Sn1 Sn 0.219 0.500 0.407
Os1 Os 0.391 0.000 0.787
C1 C 0.669 0.500 0.888
```



# 2
Calculated powder diffraction line list
Compound: TaNiAgSnOsC
Radiation: Cu Kα (λ = 1.5418 Å)
Structure: a structure optimized by DFT (GGA-PBE)

Principal peaks in the range 2θ = 10–80°, by angle:
13.5°, rel. 19; 35.9°, rel. 47; 38.2°, rel. 100; 39.9°, rel. 79; 40.3°, rel. 43; 55.1°, rel. 27; 57.8°, rel. 19; 71.9°, rel. 17; 72.8°, rel. 20; 73.0°, rel. 13; 75.0°, rel. 25; 75.3°, rel. 14

Structural model:
```
data_TaNiAgSnOsC
_cell_length_a 3.058
_cell_length_b 4.473
_cell_length_c 13.082
_cell_angle_alpha 90.00
_cell_angle_beta 90.00
_cell_angle_gamma 90.00
_space_group_name_H-M_alt 'I m m 2'
_space_group_IT_number 44
_space_group_name_Hall 'I 2 -2'
loop_
_atom_site_label
_atom_site_type_symbol
_atom_site_fract_x
_atom_site_fract_y
_atom_site_fract_z
Ta1 Ta 0.000 0.000 0.000
Ni1 Ni 0.000 0.000 0.400
Ag1 Ag 0.000 0.500 0.300
Sn1 Sn 0.000 0.500 0.716
Os1 Os 0.000 0.000 0.594
C1 C 0.000 0.500 0.991
```



# 3
Calculated powder diffraction line list
Compound: TaNiAgSnOsC
Radiation: Cu Kα (λ = 1.5418 Å)
Structure: a structure optimized by DFT (GGA-PBE)

Principal peaks in the range 2θ = 10–80°, by angle:
20.9°, rel. 33; 31.9°, rel. 51; 35.0°, rel. 88; 38.6°, rel. 100; 39.1°, rel. 71; 39.8°, rel. 68; 40.1°, rel. 61; 41.7°, rel. 65; 44.9°, rel. 46; 48.8°, rel. 46; 59.1°, rel. 31; 68.7°, rel. 46

Structural model:
```
data_TaNiAgSnOsC
_cell_length_a 9.057
_cell_length_b 3.125
_cell_length_c 7.018
_cell_angle_alpha 90.00
_cell_angle_beta 110.36
_cell_angle_gamma 90.00
_space_group_name_H-M_alt 'C 1 m 1'
_space_group_IT_number 8
_space_group_name_Hall 'C -2y'
loop_
_atom_site_label
_atom_site_type_symbol
_atom_site_fract_x
_atom_site_fract_y
_atom_site_fract_z
Ta1 Ta 0.000 0.000 0.000
Ni1 Ni 0.248 0.000 0.885
Ag1 Ag 0.304 0.500 0.278
Sn1 Sn 0.130 0.000 0.482
Os1 Os 0.458 0.000 0.665
C1 C 0.142 0.500 0.941
```



# 4
Calculated powder diffraction line list
Compound: TaNiAgSnOsC
Radiation: Cu Kα (λ = 1.5418 Å)
Structure: a structure optimized by DFT (GGA-PBE)

Principal peaks in the range 2θ = 10–80°, by angle:
13.4°, rel. 32; 29.7°, rel. 23; 31.8°, rel. 29; 33.5°, rel. 50; 35.7°, rel. 38; 38.3°, rel. 81; 40.3°, rel. 73; 40.8°, rel. 57; 41.1°, rel. 61; 43.9°, rel. 100; 67.9°, rel. 27; 75.6°, rel. 39

Structural model:
```
data_TaNiAgSnOsC
_cell_length_a 8.862
_cell_length_b 2.981
_cell_length_c 6.832
_cell_angle_alpha 90.00
_cell_angle_beta 104.58
_cell_angle_gamma 90.00
_space_group_name_H-M_alt 'C 1 m 1'
_space_group_IT_number 8
_space_group_name_Hall 'C -2y'
loop_
_atom_site_label
_atom_site_type_symbol
_atom_site_fract_x
_atom_site_fract_y
_atom_site_fract_z
Ta1 Ta 0.000 0.000 0.000
Ni1 Ni 0.312 0.000 0.185
Ag1 Ag 0.122 0.500 0.376
Sn1 Sn 0.427 0.500 0.561
Os1 Os 0.246 0.000 0.794
C1 C 0.190 0.500 0.978
```



# 5
Calculated powder diffraction line list
Compound: Ag2CO3
Radiation: Cu Kα (λ = 1.5418 Å)
Structure: a structure optimized by DFT (GGA-PBE)

Principal peaks in the range 2θ = 10–80°, by angle:
19.3°, rel. 33; 32.8°, rel. 100; 33.7°, rel. 58; 39.2°, rel. 11; 47.8°, rel. 37; 52.6°, rel. 8; 54.1°, rel. 8; 59.8°, rel. 26; 60.3°, rel. 10; 65.3°, rel. 16; 71.0°, rel. 5; 78.9°, rel. 5

Structural model:
```
data_Ag2CO3
_cell_length_a 6.780
_cell_length_b 15.944
_cell_length_c 9.200
_cell_angle_alpha 90.00
_cell_angle_beta 90.00
_cell_angle_gamma 90.00
_space_group_name_H-M_alt 'I m a 2'
_space_group_IT_number 46
_space_group_name_Hall 'I 2 -2a'
loop_
_atom_site_label
_atom_site_type_symbol
_atom_site_fract_x
_atom_site_fract_y
_atom_site_fract_z
Ag1 Ag 0.000 0.000 0.000
Ag2 Ag 0.001 0.167 0.501
Ag3 Ag 0.250 0.182 0.158
Ag4 Ag 0.250 0.503 0.196
Ag5 Ag 0.250 0.679 0.649
C1 C 0.000 0.167 0.834
C2 C 0.250 0.000 0.334
O1 O 0.000 0.115 0.724
O2 O 0.001 0.247 0.812
O3 O 0.001 0.637 0.466
O4 O 0.250 0.036 0.206
O5 O 0.250 0.046 0.452
O6 O 0.250 0.582 0.845
```



# 6
Calculated powder diffraction line list
Compound: Ag2CO3
Radiation: Cu Kα (λ = 1.5418 Å)
Structure: a structure optimized by DFT (GGA-PBE)

Principal peaks in the range 2θ = 10–80°, by angle:
19.3°, rel. 32; 29.7°, rel. 5; 32.7°, rel. 100; 33.8°, rel. 56; 34.6°, rel. 6; 39.3°, rel. 11; 47.7°, rel. 36; 52.8°, rel. 8; 53.6°, rel. 8; 59.8°, rel. 25; 60.5°, rel. 9; 64.9°, rel. 16

Structural model:
```
data_Ag2CO3
_cell_length_a 9.1800
_cell_length_b 9.1800
_cell_length_c 3.4187
_cell_angle_alpha 90.00
_cell_angle_beta 90.00
_cell_angle_gamma 120.00
_space_group_name_H-M_alt 'P -6'
_space_group_IT_number 174
_space_group_name_Hall 'P -6'
loop_
_atom_site_label
_atom_site_type_symbol
_atom_site_fract_x
_atom_site_fract_y
_atom_site_fract_z
Ag1 Ag 0.0019 0.6678 0.0000
Ag2 Ag 0.3324 0.0301 0.5000
C1 C 0.0000 0.0000 0.0000
C2 C 0.3333 0.6667 0.5000
C3 C 0.6667 0.3333 0.0000
O1 O 0.0574 0.1613 0.0000
O2 O 0.1696 0.5961 0.5000
O3 O 0.5631 0.1720 0.0000
```



# 7
Calculated powder diffraction line list
Compound: Ag2CO3
Radiation: Cu Kα (λ = 1.5418 Å)
Structure: a structure optimized by DFT (GGA-PBE)

Principal peaks in the range 2θ = 10–80°, by angle:
18.9°, rel. 35; 33.1°, rel. 62; 33.4°, rel. 100; 38.4°, rel. 11; 42.5°, rel. 10; 47.8°, rel. 32; 51.6°, rel. 8; 59.1°, rel. 10; 59.3°, rel. 25; 60.0°, rel. 9; 66.9°, rel. 12; 79.3°, rel. 8

Structural model:
```
data_Ag2CO3
_cell_length_a 9.3754
_cell_length_b 9.3754
_cell_length_c 6.5320
_cell_angle_alpha 90.00
_cell_angle_beta 90.00
_cell_angle_gamma 120.00
_space_group_name_H-M_alt 'P 3 1 c'
_space_group_IT_number 159
_space_group_name_Hall 'P 3 -2c'
loop_
_atom_site_label
_atom_site_type_symbol
_atom_site_fract_x
_atom_site_fract_y
_atom_site_fract_z
Ag1 Ag 0.0235 0.6717 0.0000
Ag2 Ag 0.0286 0.3341 0.7875
C1 C 0.0000 0.0000 0.3896
C2 C 0.3333 0.6667 0.2273
C3 C 0.3333 0.6667 0.7163
O1 O 0.0781 0.9182 0.3893
O2 O 0.1735 0.5944 0.7167
O3 O 0.2365 0.7293 0.2293
```



# 8
Calculated powder diffraction line list
Compound: Ag2C2O5
Radiation: Cu Kα (λ = 1.5418 Å)
Structure: a structure optimized by DFT (GGA-PBE)

Principal peaks in the range 2θ = 10–80°, by angle:
14.2°, rel. 71; 17.5°, rel. 76; 23.2°, rel. 76; 26.1°, rel. 91; 26.8°, rel. 100; 27.8°, rel. 53; 28.1°, rel. 66; 31.6°, rel. 63; 33.5°, rel. 96; 33.9°, rel. 39; 36.3°, rel. 44; 37.5°, rel. 42

Structural model:
```
data_Ag2C2O5
_cell_length_a 3.910
_cell_length_b 5.474
_cell_length_c 6.674
_cell_angle_alpha 69.62
_cell_angle_beta 83.95
_cell_angle_gamma 78.82
_space_group_name_H-M_alt 'P 1'
_space_group_IT_number 1
_space_group_name_Hall 'P 1'
loop_
_atom_site_label
_atom_site_type_symbol
_atom_site_fract_x
_atom_site_fract_y
_atom_site_fract_z
Ag1 Ag 0.000 0.000 0.000
Ag2 Ag 0.182 0.230 0.319
C1 C 0.334 0.497 0.834
C2 C 0.646 0.674 0.484
O1 O 0.147 0.577 0.973
O2 O 0.419 0.707 0.655
O3 O 0.431 0.261 0.842
O4 O 0.611 0.884 0.321
O5 O 0.853 0.464 0.509
```